# BH3
Computed powder XRD pattern, Cu Kα, 1.54184 Å. Input: the GGA-PBE geometry in the Materials Project.
Kinematic intensities with the Lorentz-polarization factor, no thermal factor.

```
data_BH3
_chemical_formula_sum 'B4 H12'
_symmetry_space_group_name_H-M 'P 1 21/c 1'
_symmetry_Int_Tables_number 14
_cell_length_a 4.311
_cell_length_b 6.619
_cell_length_c 6.241
_cell_angle_alpha 90.00
_cell_angle_beta 116.16
_cell_angle_gamma 90.00
loop_
_symmetry_equiv_pos_as_xyz
'x,y,z'
'-x,-y,-z'
'-x,y+1/2,-z+1/2'
'x,-y+1/2,z+1/2'
loop_
_atom_site_label
_atom_site_type_symbol
_atom_site_fract_x
_atom_site_fract_y
_atom_site_fract_z
B1 B 0.140 0.042 0.142
H1 H 0.082 0.001 0.308
H2 H 0.141 0.625 0.527
H3 H 0.386 0.141 0.168
```

Peak list (6 most intense, 10° ≤ 2θ ≤ 90°, sorted by position)
Position (°2θ)  d (Å)  I_rel  hkl
20.8  4.276  79.4  0 1 1
23.0  3.869  33.5  1 0 0
25.3  3.518  100.0  1 1 -1
26.9  3.310  33.3  0 2 0
30.0  2.976  13.1  1 0 -2
35.7  2.515  12.9  1 2 0